[1]
The following is a calculated X-ray diffraction stick pattern of Na3Ga4Au4. It was derived from the PBE geometry in Alexandria, using CuKα.
Kinematic intensities with the Lorentz-polarization factor, no thermal factor.

Principal peaks in the range 2θ = 15–90°, by intensity:
| 2theta | Rel. int. |
| --- | --- |
| 32.27 | 100 |
| 43.97 | 85 |
| 45.59 | 80 |
| 27.18 | 64 |
| 41.33 | 64 |
| 21.31 | 62 |
| 35.01 | 58 |
| 22.51 | 55 |
| 50.19 | 51 |
| 23.63 | 49 |
| 25.47 | 44 |
| 78.35 | 28 |

Cell: 8.216 8.216 8.216 Å, 149.17 126.23 63.27°
Fractional coordinates of all 11 atoms:
Na1 0.000 0.000 0.000
Na2 0.382 0.882 0.500
Na3 0.618 0.118 0.500
Ga1 0.018 0.323 0.696
Ga2 0.373 0.677 0.696
Ga3 0.627 0.323 0.304
Ga4 0.982 0.677 0.304
Au1 0.218 0.218 0.000
Au2 0.297 0.500 0.797
Au3 0.703 0.500 0.203
Au4 0.782 0.782 0.000

[2]
The following is a calculated X-ray diffraction stick pattern of Na2Ga3Au9. It was derived from the PBE geometry in Alexandria, using CuKα.
Kinematic intensities with the Lorentz-polarization factor, no thermal factor.

Principal peaks in the range 2θ = 15–90°, by intensity:
| 2theta | Rel. int. |
| --- | --- |
| 35.53 | 100 |
| 39.38 | 66 |
| 35.71 | 48 |
| 39.65 | 32 |
| 43.72 | 30 |
| 43.55 | 29 |
| 28.93 | 29 |
| 24.22 | 26 |
| 46.96 | 26 |
| 68.92 | 21 |
| 69.16 | 21 |
| 43.29 | 20 |

Cell: 7.892 7.892 10.804 Å, 111.04 111.04 60.43°
Fractional coordinates of all 28 atoms:
Na1 0.083 0.249 0.250
Na2 0.249 0.083 0.750
Na3 0.751 0.917 0.250
Na4 0.917 0.751 0.750
Ga1 0.000 0.500 0.000
Ga2 0.150 0.675 0.501
Ga3 0.325 0.850 0.999
Ga4 0.500 0.000 0.500
Ga5 0.675 0.150 0.001
Ga6 0.850 0.325 0.499
Au1 0.026 0.850 0.065
Au2 0.150 0.974 0.435
Au3 0.194 0.355 0.565
Au4 0.195 0.586 0.252
Au5 0.304 0.473 0.918
Au6 0.355 0.194 0.065
Au7 0.362 0.638 0.750
Au8 0.414 0.805 0.248
Au9 0.473 0.304 0.418
Au10 0.527 0.696 0.582
Au11 0.586 0.195 0.752
Au12 0.638 0.362 0.250
Au13 0.645 0.806 0.935
Au14 0.696 0.527 0.082
Au15 0.805 0.414 0.748
Au16 0.806 0.645 0.435
Au17 0.850 0.026 0.565
Au18 0.974 0.150 0.935